(1)
The following is a calculated X-ray powder pattern of K3Th3HgTe8. It was derived from the GGA-PBE geometry in Alexandria, using Cu Kα (weighted mean of Kα1 and Kα2).
Peak positions follow from Bragg's law for the DFT cell and can differ from measured ones.

The 8 most intense peaks (2θ from 10° to 90°), in order of falling intensity:
2θ (°)  I_rel
26.57  100
10.81  65
38.95  38
36.89  36
33.97  23
47.77  20
40.54  17
22.49  17

```
15
Lattice="8.007 -4.627 0.000 8.007 4.627 0.000 -5.336 0.000 8.187" Properties=species:S:1:pos:R:3 pbc="T T T"
K 0.000 0.000 0.000
K 4.003 2.314 0.000
K 4.003 -2.314 0.000
Th 1.335 2.314 4.093
Th 1.335 -2.314 4.093
Th 5.339 0.000 4.093
Hg -2.668 0.000 4.093
Te 0.129 0.000 5.796
Te 3.938 2.197 5.800
Te 2.669 0.000 2.304
Te 6.740 2.197 2.387
Te 3.938 -2.197 5.800
Te 8.009 0.000 5.883
Te 6.740 -2.197 2.387
Te 10.549 0.000 2.391
```

(2)
The following is a calculated X-ray powder pattern of KTl2HgTe2. It was derived from the GGA-PBE geometry in Alexandria, using Cu Kα (weighted mean of Kα1 and Kα2).
Peak positions follow from Bragg's law for the DFT cell and can differ from measured ones.

The 8 most intense peaks (2θ from 10° to 90°), in order of falling intensity:
2θ (°)  I_rel
36.48  100
19.24  63
27.42  54
46.20  32
25.56  30
27.32  28
39.01  22
29.84  21

```
12
Lattice="7.500 0.000 0.000 0.000 13.069 0.000 0.000 0.000 4.930" Properties=species:S:1:pos:R:3 pbc="T T T"
K 0.000 0.000 0.000
K 3.750 6.534 2.465
Tl 1.779 2.537 2.465
Tl 1.971 9.072 0.000
Tl 5.529 3.997 0.000
Tl 5.722 10.531 2.465
Hg 0.000 6.534 0.000
Hg 3.750 0.000 2.465
Te 1.469 11.046 2.465
Te 2.281 4.512 0.000
Te 5.219 8.557 0.000
Te 6.031 2.022 2.465
```

(3)
The following is a calculated X-ray powder pattern of KTl7Hg4. It was derived from the GGA-PBE geometry in Alexandria, using Cu Kα (weighted mean of Kα1 and Kα2).
Peak positions follow from Bragg's law for the DFT cell and can differ from measured ones.

The 8 most intense peaks (2θ from 10° to 90°), in order of falling intensity:
2θ (°)  I_rel
27.77  100
29.58  73
30.09  72
41.02  66
31.31  62
41.40  60
42.34  55
59.99  24

```
12
Lattice="6.766 -3.213 0.000 6.766 3.213 0.000 -5.651 0.000 8.911" Properties=species:S:1:pos:R:3 pbc="T T T"
K 0.000 0.000 0.000
Tl -1.805 0.000 3.151
Tl -2.089 0.000 8.679
Tl 1.915 0.000 3.183
Tl 6.766 0.000 0.000
Tl 5.967 0.000 5.729
Tl 9.970 0.000 0.232
Tl 9.686 0.000 5.760
Hg -0.288 0.000 5.946
Hg 5.035 0.000 2.723
Hg 2.846 0.000 6.189
Hg 8.169 0.000 2.966
```

(4)
The following is a calculated X-ray powder pattern of K2Tl7Hg. It was derived from the GGA-PBE geometry in Alexandria, using Cu Kα (weighted mean of Kα1 and Kα2).
Peak positions follow from Bragg's law for the DFT cell and can differ from measured ones.

The 8 most intense peaks (2θ from 10° to 90°), in order of falling intensity:
2θ (°)  I_rel
37.13  100
27.57  84
33.66  81
18.08  64
14.00  49
62.49  45
26.98  34
48.35  30

```
10
Lattice="5.325 0.000 0.000 0.000 5.325 0.000 0.000 0.000 12.648" Properties=species:S:1:pos:R:3 pbc="T T T"
K 0.000 2.662 3.097
K 2.662 0.000 9.551
Tl 0.000 0.000 0.000
Tl 0.000 0.000 6.324
Tl 0.000 2.662 8.037
Tl 0.000 2.662 11.057
Tl 2.662 0.000 1.591
Tl 2.662 0.000 4.611
Tl 2.662 2.662 6.324
Hg 2.662 2.662 0.000
```

(5)
The following is a calculated X-ray powder pattern of KTl3Hg2. It was derived from the GGA-PBE geometry in Alexandria, using Cu Kα (weighted mean of Kα1 and Kα2).
Peak positions follow from Bragg's law for the DFT cell and can differ from measured ones.

The 8 most intense peaks (2θ from 10° to 90°), in order of falling intensity:
2θ (°)  I_rel
28.92  100
34.80  37
32.56  32
32.42  30
35.73  28
36.25  18
19.45  14
41.47  13

```
12
Lattice="8.475 -2.578 0.000 8.475 2.578 0.000 -4.105 0.000 9.119" Properties=species:S:1:pos:R:3 pbc="T T T"
K 2.092 0.000 0.705
K 10.752 0.000 8.415
Tl -0.737 0.000 3.438
Tl 2.753 0.000 5.291
Tl 5.369 0.000 3.245
Tl 7.475 0.000 5.874
Tl 10.091 0.000 3.828
Tl 13.582 0.000 5.681
Hg 0.213 0.000 7.120
Hg 4.879 0.000 7.723
Hg 7.965 0.000 1.396
Hg 12.632 0.000 1.999
```

(6)
The following is a calculated X-ray powder pattern of KTl6Hg12. It was derived from the GGA-PBE geometry in Alexandria, using Cu Kα (weighted mean of Kα1 and Kα2).
Peak positions follow from Bragg's law for the DFT cell and can differ from measured ones.

The 8 most intense peaks (2θ from 10° to 90°), in order of falling intensity:
2θ (°)  I_rel
32.98  100
34.01  74
27.60  67
36.34  57
40.70  54
37.75  50
28.80  49
64.23  35

```
19
Lattice="7.084 4.090 3.447 -7.084 4.090 3.447 0.000 -8.180 3.447" Properties=species:S:1:pos:R:3 pbc="T T T"
K 0.000 0.000 0.000
Tl -3.003 -1.734 5.803
Tl 0.000 -3.467 4.538
Tl -3.003 1.734 4.538
Tl 3.003 -1.734 5.803
Tl 0.000 3.467 5.803
Tl 3.003 1.734 4.538
Hg -2.776 -4.809 5.170
Hg -5.553 0.000 5.170
Hg -1.669 -0.964 2.994
Hg 1.669 -0.964 2.994
Hg 0.000 1.927 2.994
Hg 2.776 -4.809 5.170
Hg -2.776 4.809 5.170
Hg 0.000 -1.927 7.347
Hg -1.669 0.964 7.347
Hg 1.669 0.964 7.347
Hg 5.553 0.000 5.170
Hg 2.776 4.809 5.170
```

(7)
The following is a calculated X-ray powder pattern of KTl4Hg12. It was derived from the GGA-PBE geometry in Alexandria, using Cu Kα (weighted mean of Kα1 and Kα2).
Peak positions follow from Bragg's law for the DFT cell and can differ from measured ones.

The 8 most intense peaks (2θ from 10° to 90°), in order of falling intensity:
2θ (°)  I_rel
26.81  100
38.28  51
43.89  40
31.85  24
42.08  20
78.15  14
11.90  12
43.98  11

```
17
Lattice="7.442 4.297 3.029 -7.442 4.297 3.029 0.000 -8.594 3.029" Properties=species:S:1:pos:R:3 pbc="T T T"
K 0.000 0.000 0.000
Tl -7.442 0.000 4.543
Tl -3.721 2.148 1.514
Tl 3.721 2.148 1.514
Tl 0.000 0.000 4.543
Hg -3.718 -3.391 4.770
Hg -1.575 -2.149 3.033
Hg -4.795 1.524 4.315
Hg -1.074 2.438 3.033
Hg 1.078 -4.915 4.315
Hg 2.648 -0.289 3.033
Hg -2.648 0.289 6.053
Hg -1.078 4.915 4.770
Hg 1.074 -2.438 6.053
Hg 4.795 -1.524 4.770
Hg 1.575 2.149 6.053
Hg 3.718 3.391 4.315
```